Simulated powder diffractogram of Ta7BiO19 for a wavelength of 1.5418 Å, from DFT lattice parameters and positions (GGA-PBE).

Atomic structure:
```
Ta7BiO19
1.0
6.2833 0.0000 0.0000
-3.1416 5.4415 0.0000
0.0000 0.0000 20.2396
Ta Bi O
14 2 38
Cartesian
0.0000 0.0000 0.0000
0.0000 0.0000 10.1198
2.0111 0.1358 3.1618
2.0111 0.1358 6.9579
1.1232 1.6737 13.2816
1.1232 1.6737 17.0777
4.2722 0.1358 13.2816
4.2722 0.1358 17.0777
2.2538 3.6319 3.1618
2.2538 3.6319 6.9579
5.1601 1.6737 3.1618
5.1601 1.6737 6.9579
4.0295 3.6319 13.2816
4.0295 3.6319 17.0777
3.1416 1.8138 0.0000
3.1416 1.8138 10.1198
0.0000 0.0000 3.3698
0.0000 0.0000 6.7500
0.0000 0.0000 13.4896
0.0000 0.0000 16.8698
-0.7692 2.2947 13.2246
-0.7692 2.2947 17.1348
-1.5390 3.6280 3.1048
-1.5390 3.6280 7.0150
1.6279 0.2714 1.1524
1.6279 0.2714 8.9674
1.0489 1.2741 11.2722
1.0489 1.2741 19.0872
0.7692 2.2947 3.1048
0.7692 2.2947 7.0150
-0.7698 4.9603 13.2246
-0.7698 4.9603 17.1348
2.0844 0.4440 5.0599
1.4267 1.5831 15.1797
1.5390 3.6280 13.2246
1.5390 3.6280 17.1348
0.7698 4.9603 3.1048
0.7698 4.9603 7.0150
3.1416 1.8138 2.7170
3.1416 1.8138 7.4028
3.1416 1.8138 12.8368
3.1416 1.8138 17.5226
4.1989 0.4440 15.1797
2.4840 3.4144 5.0599
4.6554 0.2714 11.2722
4.6554 0.2714 19.0872
2.5627 3.8960 1.1524
2.5627 3.8960 8.9674
4.8566 1.5831 5.0599
3.7993 3.4144 15.1797
5.2343 1.2741 1.1524
5.2343 1.2741 8.9674
3.7205 3.8960 11.2722
3.7205 3.8960 19.0872
```

Principal peaks in the range 10 to 90 degrees two-theta, by angle:
(1 0 0), 5.441 Å, rel. 35
(0 0 6), 3.373 Å, rel. 71
(1 1 1), 3.104 Å, rel. 100
(1 1 2), 3.000 Å, rel. 52
(1 1 4), 2.669 Å, rel. 58
(1 1 5), 2.482 Å, rel. 51
(3 0 0), 1.814 Å, rel. 43
(1 1 10), 1.701 Å, rel. 26
(3 0 6), 1.597 Å, rel. 47
(1 1 11), 1.588 Å, rel. 20

Simulated powder diffractogram of TaBiO4 for a wavelength of 1.5418 Å, from DFT lattice parameters and positions (GGA-PBE).

Atomic structure:
```
TaBiO4
1.0
5.7383 0.0000 0.0000
0.0000 11.9042 0.0000
0.0000 0.0000 5.0404
Ta Bi O
4 4 16
Cartesian
0.7610 2.9761 1.2601
2.1081 8.9282 1.2601
3.6302 2.9761 3.7803
4.9773 8.9282 3.7803
1.4346 0.0000 3.6288
1.4346 5.9521 3.9319
4.3037 0.0000 1.4117
4.3037 5.9521 1.1086
0.4690 1.1657 2.0682
0.4690 4.7864 0.4520
0.8552 8.2866 2.5528
0.8552 9.5697 5.0079
2.0140 2.3345 5.0079
2.0140 3.6176 2.5528
2.4002 7.1178 0.4520
2.4002 10.7385 2.0682
3.3381 1.1657 2.9722
3.3381 4.7864 4.5884
3.7243 8.2866 2.4877
3.7243 9.5697 0.0325
4.8831 2.3345 0.0325
4.8831 3.6176 2.4877
5.2693 7.1178 4.5884
5.2693 10.7385 2.9722
```

Principal peaks in the range 10 to 90 degrees two-theta, by angle:
(1 1 1), 3.609 Å, rel. 21
(1 2 1), 3.195 Å, rel. 100
(0 4 0), 2.976 Å, rel. 25
(2 1 0), 2.789 Å, rel. 9
(0 0 2), 2.520 Å, rel. 13
(0 4 2), 1.923 Å, rel. 16
(3 0 1), 1.788 Å, rel. 9
(1 6 1), 1.757 Å, rel. 20
(1 2 3), 1.556 Å, rel. 11
(3 4 1), 1.533 Å, rel. 10

Simulated powder diffractogram of Ta2Bi4O11 for a wavelength of 1.5418 Å, from DFT lattice parameters and positions (GGA-PBE).

Atomic structure:
```
Ta2Bi4O11
1.0
6.6586 0.0000 0.0000
0.0111 7.7334 0.0000
0.0899 1.9335 9.8731
Ta Bi O
4 8 22
Cartesian
0.5925 2.9001 3.0919
0.6202 6.7631 3.0536
6.1394 2.9039 6.8195
6.1671 6.7669 6.7812
1.6872 6.7496 9.6607
1.7335 2.8881 9.6577
2.6474 4.8156 6.6227
3.0041 8.6891 6.7579
3.7555 0.9779 3.1152
4.1122 4.8514 3.2503
5.0261 6.7789 0.2154
5.0724 2.9174 0.2124
0.0649 2.6935 4.9371
0.1542 4.8328 3.0554
0.6314 2.9785 0.9793
0.7520 6.6556 1.0229
1.0735 0.9679 2.8753
1.5152 2.5858 7.2652
1.5314 7.0693 7.2773
2.4797 3.2692 3.2936
2.4860 6.4121 3.4215
2.8205 4.7654 8.7478
3.1393 8.7390 8.8638
3.6203 0.9280 1.0093
3.9391 4.9016 1.1253
4.2736 3.2549 6.4516
4.2798 6.3978 6.5795
5.2282 2.5976 2.5958
5.2444 7.0812 2.6079
5.6860 8.6990 6.9978
6.0076 3.0113 8.8502
6.1282 6.6885 8.8938
6.6053 4.8342 6.8177
6.6947 6.9735 4.9360
```

Principal peaks in the range 10 to 90 degrees two-theta, by angle:
(0 0 3), 3.293 Å, rel. 100
(2 0 1), 3.163 Å, rel. 45
(1 2 2), 2.987 Å, rel. 23
(1 2 -1), 2.976 Å, rel. 47
(2 0 -2), 2.749 Å, rel. 24
(1 -2 2), 2.557 Å, rel. 23
(0 4 1), 1.933 Å, rel. 15
(3 2 0), 1.917 Å, rel. 19
(1 2 -4), 1.831 Å, rel. 16
(2 -4 0), 1.650 Å, rel. 15

Simulated powder diffractogram of Ta7BiO19 for a wavelength of 1.5418 Å, from DFT lattice parameters and positions (GGA-PBE).

Atomic structure:
```
Ta7BiO19
1.0
6.2939 0.0000 0.0000
-3.1470 5.4507 0.0000
0.0000 0.0000 20.2972
Ta Bi O
14 2 38
Cartesian
-1.1133 1.9567 8.2374
-2.0091 3.5082 1.9112
0.0000 3.6338 5.0743
1.1133 1.9567 1.9112
-0.8957 5.4365 8.2374
2.2512 0.0142 12.0598
1.1379 1.9425 18.3859
2.0091 3.5082 8.2374
0.8957 5.4365 1.9112
4.0427 0.0142 18.3859
2.0336 3.4940 12.0598
3.1470 1.8169 15.2229
5.1560 1.9425 12.0598
4.2603 3.4940 18.3859
0.0000 3.6338 15.2229
3.1470 1.8169 5.0743
-1.2379 2.1441 10.1486
-1.9091 3.3066 0.0000
-0.7572 1.3362 18.3318
-2.3684 4.1269 12.1140
-1.0581 2.3482 6.2189
-1.6424 3.3602 3.9297
0.7572 1.3362 12.1140
-1.6112 5.4383 18.3318
1.5358 0.0124 1.9654
0.7786 1.3238 8.1832
0.0000 3.6338 1.8370
0.0000 3.6338 8.3116
0.0000 3.6338 12.4246
0.0000 3.6338 18.0211
1.0581 2.3482 3.9297
-0.5843 5.1929 6.2189
2.4758 0.0000 10.1486
1.2379 2.1441 0.0000
2.5627 0.2578 14.0783
1.5046 2.0905 16.3675
1.6424 3.3602 6.2189
0.5843 5.1929 3.9297
3.8182 0.0000 0.0000
1.9091 3.3066 10.1486
3.7312 0.2578 16.3675
2.0889 3.1025 14.0783
3.1470 1.8169 2.2760
3.1470 1.8169 7.8725
3.1470 1.8169 11.9856
3.1470 1.8169 18.4602
2.3684 4.1269 18.3318
1.6112 5.4383 12.1140
4.7582 0.0124 8.1832
2.3898 4.1145 1.9654
4.7894 2.0905 14.0783
4.2051 3.1025 16.3675
5.5153 1.3238 1.9654
3.9041 4.1145 8.1832
```

Principal peaks in the range 10 to 90 degrees two-theta, by angle:
(1 0 0), 5.451 Å, rel. 34
(0 0 6), 3.383 Å, rel. 71
(1 1 1), 3.110 Å, rel. 100
(1 1 2), 3.006 Å, rel. 51
(1 1 4), 2.674 Å, rel. 57
(1 1 5), 2.487 Å, rel. 51
(3 0 0), 1.817 Å, rel. 44
(1 1 10), 1.706 Å, rel. 25
(3 0 6), 1.601 Å, rel. 46
(1 1 11), 1.592 Å, rel. 20

Simulated powder diffractogram of Ta3Bi7O18 for a wavelength of 1.5418 Å, from DFT lattice parameters and positions (GGA-PBE).

Atomic structure:
```
Ta3Bi7O18
1.0
6.7025 0.0000 0.0000
-0.0043 7.6870 0.0000
-1.2589 -3.8292 16.3811
Ta Bi O
6 14 36
Cartesian
0.0000 0.0000 0.0000
-1.2217 -0.0035 16.2993
2.2491 -0.0159 6.2034
2.2817 3.8094 6.1506
4.2485 -0.0191 12.6210
4.2771 3.8084 12.6562
-0.3988 -0.0332 9.7874
-0.3464 3.8121 9.7742
1.0508 1.8685 3.2820
1.1613 5.7256 2.8224
0.7125 1.9089 12.7822
1.1310 -1.9384 12.6049
1.9460 -1.9569 16.3268
2.3654 2.0099 16.2050
3.1789 1.9309 9.5727
3.2291 -1.9917 9.1536
4.4308 -0.1652 3.3444
4.5663 3.7413 2.7636
5.3861 1.9533 6.2663
5.8295 5.6859 6.2038
0.1216 3.5350 1.9759
0.1684 0.2866 1.9634
-0.8611 -1.9181 16.0657
-0.4074 -0.3227 12.1281
-0.4012 4.1224 12.0860
0.3266 3.4930 6.3221
0.3753 0.3695 6.2808
0.7904 1.9159 10.6640
0.6185 0.4205 16.1121
0.6465 3.4835 16.1486
1.3284 -1.9383 10.5132
2.0744 4.1975 4.2076
2.1126 -0.3297 4.1293
1.9788 5.7593 6.6174
2.6709 1.9160 5.7637
2.5077 3.5196 8.1670
2.9817 1.9560 2.0532
2.7194 0.3055 8.0675
2.3558 0.3314 12.7831
2.3784 3.4520 12.8416
3.4758 5.7168 1.9402
4.2601 -0.3689 5.6696
4.6814 0.2759 0.2637
4.6903 3.4986 0.4460
4.2592 4.1337 6.0250
3.8433 -1.9483 12.7993
4.1873 4.0749 10.5311
4.1980 -0.3029 10.5551
4.6209 1.8949 12.1889
5.4727 1.8760 4.0300
4.8367 0.1841 14.4522
5.3041 1.9078 8.8585
4.9424 3.6245 14.4226
5.7945 5.7191 3.8257
5.4508 -1.9125 8.5133
6.2953 5.7534 0.3328
```

Principal peaks in the range 10 to 90 degrees two-theta, by angle:
(0 0 5), 3.276 Å, rel. 99
(1 2 0), 3.241 Å, rel. 67
(2 0 -2), 3.180 Å, rel. 92
(1 2 1), 3.046 Å, rel. 100
(1 2 -4), 2.894 Å, rel. 47
(2 0 3), 2.757 Å, rel. 51
(1 2 -5), 2.634 Å, rel. 42
(3 2 -1), 1.928 Å, rel. 44
(0 4 -2), 1.922 Å, rel. 30
(1 2 6), 1.881 Å, rel. 33

Simulated powder diffractogram of Ta6Bi2O19 for a wavelength of 1.5418 Å, from DFT lattice parameters and positions (GGA-PBE).

Atomic structure:
```
Ta6Bi2O19
1.0
6.3389 0.0000 0.0000
-3.1694 5.4896 0.0000
0.0000 0.0000 20.5789
Ta Bi O
12 4 38
Cartesian
-1.1237 1.9463 3.2390
-1.1237 1.9463 7.0504
-2.0457 3.5433 13.5285
-2.0457 3.5433 17.3399
2.2474 0.0000 3.2390
2.2474 0.0000 7.0504
1.1237 1.9463 13.5285
1.1237 1.9463 17.3399
4.0915 0.0000 13.5285
4.0915 0.0000 17.3399
2.0457 3.5433 3.2390
2.0457 3.5433 7.0504
0.0000 3.6598 0.0000
0.0000 3.6598 10.2895
3.1695 1.8299 0.0000
3.1695 1.8299 10.2895
-0.7637 1.3228 13.4866
-0.7637 1.3228 17.3818
-1.2607 2.1836 5.1447
-1.2707 2.2010 1.2055
-1.2707 2.2010 9.0840
-1.8987 3.2886 11.4950
-1.8987 3.2886 19.3734
-1.9087 3.3060 15.4342
-2.4057 4.1669 3.1971
-2.4057 4.1669 7.0924
1.5274 0.0000 13.4866
1.5274 0.0000 17.3818
0.7637 1.3228 3.1971
0.7637 1.3228 7.0924
0.0000 3.6598 3.0912
0.0000 3.6598 7.1982
0.0000 3.6598 13.3807
0.0000 3.6598 17.4877
2.5214 0.0000 5.1447
1.2607 2.1836 15.4342
2.5415 0.0000 1.2055
2.5415 0.0000 9.0840
1.2707 2.2010 11.4950
1.2707 2.2010 19.3734
3.7974 0.0000 11.4950
3.7974 0.0000 19.3734
1.8987 3.2886 1.2055
1.8987 3.2886 9.0840
3.8175 0.0000 15.4342
1.9087 3.3060 5.1447
3.1695 1.8299 3.0912
3.1695 1.8299 7.1982
3.1695 1.8299 13.3807
3.1695 1.8299 17.4877
4.8115 0.0000 3.1971
4.8115 0.0000 7.0924
2.4057 4.1669 13.4866
2.4057 4.1669 17.3818
```

Principal peaks in the range 10 to 90 degrees two-theta, by angle:
(1 0 0), 5.490 Å, rel. 32
(0 0 6), 3.430 Å, rel. 75
(1 1 1), 3.133 Å, rel. 100
(1 1 2), 3.029 Å, rel. 56
(1 1 4), 2.698 Å, rel. 58
(1 1 5), 2.511 Å, rel. 48
(3 0 0), 1.830 Å, rel. 46
(1 1 10), 1.726 Å, rel. 28
(3 0 6), 1.615 Å, rel. 49
(1 1 11), 1.611 Å, rel. 21